Diffraction record for Zn3Au5. The powder X-ray diffraction pattern is calculated, not measured: it uses the PBE geometry in OQMD and Cu Kα (weighted mean of Kα1 and Kα2).

Structure:
```
Zn3Au5
1.0
6.515 0.000 0.000
0.000 9.065 0.000
0.000 0.000 4.527
Zn Au
6 10
Direct
0.000 0.125 0.000
0.000 0.360 0.419
0.000 0.640 0.919
0.000 0.875 0.500
0.500 0.144 0.999
0.500 0.856 0.499
0.225 0.374 0.916
0.225 0.626 0.416
0.255 0.108 0.502
0.255 0.892 0.002
0.500 0.374 0.414
0.500 0.626 0.914
0.745 0.108 0.502
0.745 0.892 0.002
0.775 0.374 0.916
0.775 0.626 0.416
```

The 12 most intense peaks (2θ = 15–90°), in order of rising 2θ:
| 2θ/deg | I_rel |
| --- | --- |
| 27.38 | 6 |
| 27.85 | 13 |
| 35.36 | 6 |
| 39.45 | 100 |
| 39.80 | 46 |
| 41.10 | 7 |
| 56.50 | 9 |
| 57.55 | 13 |
| 69.42 | 5 |
| 71.32 | 15 |
| 72.01 | 23 |
| 84.92 | 8 |

---

Diffraction record for ZrAu4. The powder X-ray diffraction pattern is calculated, not measured: it uses the PBE geometry in OQMD and Cu Kα (weighted mean of Kα1 and Kα2).

Structure:
```
ZrAu4
1.0
5.068 0.000 0.000
0.000 4.910 0.000
0.000 0.000 14.492
Zr Au
4 16
Direct
0.158 0.250 0.098
0.342 0.750 0.598
0.658 0.250 0.402
0.842 0.750 0.902
0.160 0.250 0.299
0.160 0.250 0.899
0.163 0.250 0.500
0.173 0.250 0.697
0.327 0.750 0.197
0.337 0.750 0.000
0.340 0.750 0.399
0.340 0.750 0.799
0.660 0.250 0.201
0.660 0.250 0.601
0.663 0.250 0.000
0.673 0.250 0.803
0.827 0.750 0.303
0.837 0.750 0.500
0.840 0.750 0.101
0.840 0.750 0.701
```

The 12 most intense peaks (2θ = 15–90°), in order of rising 2θ:
| 2θ/deg | I_rel |
| --- | --- |
| 35.68 | 25 |
| 36.60 | 44 |
| 40.04 | 54 |
| 40.27 | 100 |
| 52.04 | 17 |
| 63.76 | 17 |
| 68.21 | 11 |
| 68.37 | 21 |
| 75.83 | 21 |
| 76.30 | 11 |
| 77.84 | 12 |
| 78.48 | 15 |

---

Diffraction record for Zr5Au2. The powder X-ray diffraction pattern is calculated, not measured: it uses the PBE geometry in OQMD and Cu Kα (weighted mean of Kα1 and Kα2).

Structure:
```
Zr5Au2
1.0
2.446 1.412 7.067
-2.446 1.412 7.067
0.000 -2.824 7.067
Zr Au
5 2
Direct
0.000 0.000 0.000
0.146 0.146 0.146
0.424 0.424 0.424
0.576 0.576 0.576
0.854 0.854 0.854
0.279 0.279 0.279
0.721 0.721 0.721
```

The 12 most intense peaks (2θ = 15–90°), in order of rising 2θ:
| 2θ/deg | I_rel |
| --- | --- |
| 22.60 | 21 |
| 36.47 | 96 |
| 36.74 | 100 |
| 52.73 | 33 |
| 54.05 | 8 |
| 65.45 | 15 |
| 66.00 | 33 |
| 66.17 | 18 |
| 77.48 | 10 |
| 78.15 | 13 |
| 88.96 | 13 |
| 89.46 | 15 |

---

Diffraction record for Zr5Au3. The powder X-ray diffraction pattern is calculated, not measured: it uses the PBE geometry in OQMD and Cu Kα (weighted mean of Kα1 and Kα2).

Structure:
```
Zr5Au3
1.0
8.506 0.000 0.000
-4.253 7.366 0.000
0.000 0.000 5.349
Zr Au
10 6
Direct
0.000 0.244 0.250
0.000 0.756 0.750
0.244 0.000 0.250
0.244 0.244 0.750
0.333 0.667 0.000
0.333 0.667 0.500
0.667 0.333 0.000
0.667 0.333 0.500
0.756 0.000 0.750
0.756 0.756 0.250
0.000 0.394 0.750
0.000 0.606 0.250
0.394 0.000 0.750
0.394 0.394 0.250
0.606 0.000 0.250
0.606 0.606 0.750
```

The 12 most intense peaks (2θ = 15–90°), in order of rising 2θ:
| 2θ/deg | I_rel |
| --- | --- |
| 20.89 | 13 |
| 26.78 | 36 |
| 32.15 | 17 |
| 33.50 | 25 |
| 36.38 | 100 |
| 36.60 | 48 |
| 39.81 | 57 |
| 41.74 | 15 |
| 45.92 | 14 |
| 47.65 | 35 |
| 61.78 | 21 |
| 73.37 | 22 |

---

Diffraction record for ZrAu2. The powder X-ray diffraction pattern is calculated, not measured: it uses the PBE geometry in OQMD and Cu Kα (weighted mean of Kα1 and Kα2).

Structure:
```
ZrAu2
1.0
3.573 0.000 0.000
0.000 3.573 0.000
0.000 0.000 8.835
Zr Au
2 4
Direct
0.000 0.000 0.000
0.500 0.500 0.500
0.000 0.000 0.332
0.000 0.000 0.668
0.500 0.500 0.168
0.500 0.500 0.832
```

The 12 most intense peaks (2θ = 15–90°), in order of rising 2θ:
| 2θ/deg | I_rel |
| --- | --- |
| 20.10 | 7 |
| 26.92 | 11 |
| 35.54 | 68 |
| 39.66 | 100 |
| 51.13 | 24 |
| 63.14 | 6 |
| 66.59 | 44 |
| 74.60 | 16 |
| 75.23 | 8 |
| 85.45 | 12 |
| 86.06 | 11 |
| 88.58 | 11 |

---

Diffraction record for BaBe2ZnB2O6F2. The powder X-ray diffraction pattern is calculated, not measured: it uses the PBE geometry in OQMD and Cu Kα (weighted mean of Kα1 and Kα2).

Structure:
```
BaBe2ZnB2O6F2
1.0
4.599 0.000 0.000
-2.300 3.983 0.000
0.000 0.000 7.597
Ba Be Zn B O F
1 2 1 2 6 2
Direct
0.000 0.000 0.000
0.333 0.667 0.275
0.667 0.333 0.725
0.000 0.000 0.500
0.333 0.667 0.673
0.667 0.333 0.327
0.026 0.374 0.673
0.348 0.974 0.673
0.374 0.348 0.327
0.626 0.652 0.673
0.652 0.026 0.327
0.974 0.626 0.327
0.333 0.667 0.061
0.667 0.333 0.939
```

The 12 most intense peaks (2θ = 15–90°), in order of rising 2θ:
| 2θ/deg | I_rel |
| --- | --- |
| 22.32 | 71 |
| 23.42 | 19 |
| 32.57 | 100 |
| 39.17 | 34 |
| 41.01 | 20 |
| 45.55 | 16 |
| 46.14 | 50 |
| 51.83 | 22 |
| 53.45 | 23 |
| 63.53 | 17 |
| 66.85 | 22 |
| 81.60 | 13 |

---

Diffraction record for Ba2CdB6O12. The powder X-ray diffraction pattern is calculated, not measured: it uses the PBE geometry in OQMD and Cu Kα (weighted mean of Kα1 and Kα2).

Structure:
```
Ba2CdB6O12
1.0
3.574 2.063 5.698
-3.574 2.063 5.698
0.000 -4.127 5.698
Ba Cd B O
2 1 6 12
Direct
0.210 0.210 0.210
0.790 0.790 0.790
0.000 0.000 0.000
0.242 0.367 0.634
0.366 0.758 0.633
0.367 0.634 0.242
0.633 0.366 0.758
0.634 0.242 0.367
0.758 0.633 0.366
0.082 0.338 0.839
0.161 0.918 0.662
0.200 0.579 0.457
0.338 0.839 0.082
0.421 0.543 0.800
0.457 0.200 0.579
0.543 0.800 0.421
0.579 0.457 0.200
0.662 0.161 0.918
0.800 0.421 0.543
0.839 0.082 0.338
0.918 0.662 0.161
```

The 12 most intense peaks (2θ = 15–90°), in order of rising 2θ:
| 2θ/deg | I_rel |
| --- | --- |
| 15.22 | 45 |
| 24.92 | 100 |
| 25.33 | 30 |
| 29.33 | 19 |
| 29.86 | 95 |
| 35.82 | 26 |
| 38.85 | 21 |
| 39.27 | 35 |
| 43.88 | 25 |
| 44.13 | 40 |
| 47.07 | 37 |
| 54.73 | 20 |

---

Diffraction record for Ba2HoB2ClO6. The powder X-ray diffraction pattern is calculated, not measured: it uses the PBE geometry in OQMD and Cu Kα (weighted mean of Kα1 and Kα2).

Structure:
```
Ba2HoB2ClO6
1.0
6.409 0.000 0.000
0.000 5.301 0.000
-1.273 0.000 11.183
Ba Ho B Cl O
4 2 4 2 12
Direct
0.092 0.250 0.207
0.341 0.250 0.574
0.659 0.750 0.426
0.908 0.750 0.793
0.348 0.250 0.913
0.652 0.750 0.087
0.210 0.750 0.073
0.377 0.750 0.726
0.623 0.250 0.274
0.790 0.250 0.927
0.149 0.750 0.415
0.851 0.250 0.585
0.006 0.750 0.095
0.291 0.527 0.763
0.291 0.973 0.763
0.325 0.529 0.065
0.325 0.971 0.065
0.474 0.250 0.353
0.526 0.750 0.647
0.675 0.029 0.935
0.675 0.471 0.935
0.709 0.027 0.237
0.709 0.473 0.237
0.994 0.250 0.905
```

The 12 most intense peaks (2θ = 15–90°), in order of rising 2θ:
| 2θ/deg | I_rel |
| --- | --- |
| 21.82 | 66 |
| 23.79 | 32 |
| 26.30 | 22 |
| 28.02 | 15 |
| 28.26 | 21 |
| 29.29 | 100 |
| 30.04 | 17 |
| 33.82 | 33 |
| 35.16 | 21 |
| 38.06 | 18 |
| 43.34 | 23 |
| 44.64 | 14 |

---

Diffraction record for Ba5Zn2B4O12F2. The powder X-ray diffraction pattern is calculated, not measured: it uses the PBE geometry in OQMD and Cu Kα (weighted mean of Kα1 and Kα2).

Structure:
```
Ba5Zn2B4O12F2
1.0
12.868 -3.623 0.000
12.868 3.623 0.000
-2.127 0.000 7.675
Ba Zn B O F
10 4 8 24 4
Direct
0.069 0.931 0.750
0.074 0.260 0.402
0.260 0.074 0.902
0.313 0.538 0.333
0.462 0.687 0.167
0.538 0.313 0.833
0.687 0.462 0.667
0.740 0.926 0.098
0.926 0.740 0.598
0.931 0.069 0.250
0.154 0.462 0.984
0.462 0.154 0.484
0.538 0.846 0.516
0.846 0.538 0.016
0.115 0.731 0.969
0.122 0.429 0.279
0.269 0.885 0.531
0.429 0.122 0.779
0.571 0.878 0.221
0.731 0.115 0.469
0.878 0.571 0.721
0.885 0.269 0.031
0.074 0.100 0.091
0.085 0.365 0.164
0.090 0.548 0.232
0.100 0.074 0.591
0.188 0.376 0.449
0.201 0.564 0.967
0.229 0.722 0.041
0.278 0.771 0.459
0.365 0.085 0.664
0.376 0.188 0.949
0.436 0.799 0.533
0.452 0.910 0.268
0.548 0.090 0.732
0.564 0.201 0.467
0.624 0.812 0.051
0.635 0.915 0.336
0.722 0.229 0.541
0.771 0.278 0.959
0.799 0.436 0.033
0.812 0.624 0.551
0.900 0.926 0.409
0.910 0.452 0.768
0.915 0.635 0.836
0.926 0.900 0.909
0.235 0.610 0.649
0.390 0.765 0.851
0.610 0.235 0.149
0.765 0.390 0.351
```

The 12 most intense peaks (2θ = 15–90°), in order of rising 2θ:
| 2θ/deg | I_rel |
| --- | --- |
| 21.71 | 42 |
| 22.32 | 32 |
| 25.66 | 32 |
| 27.21 | 100 |
| 27.36 | 41 |
| 28.03 | 73 |
| 29.34 | 49 |
| 30.49 | 34 |
| 31.91 | 69 |
| 32.33 | 44 |
| 36.07 | 47 |
| 47.37 | 37 |

---

Diffraction record for BaHfB2O6. The powder X-ray diffraction pattern is calculated, not measured: it uses the PBE geometry in OQMD and Cu Kα (weighted mean of Kα1 and Kα2).

Structure:
```
BaHfB2O6
1.0
2.576 1.488 11.152
-2.576 1.488 11.152
0.000 -2.975 11.152
Ba Hf B O
2 2 4 12
Direct
0.000 0.000 0.000
0.500 0.500 0.500
0.251 0.251 0.251
0.751 0.751 0.751
0.121 0.121 0.121
0.382 0.382 0.382
0.621 0.621 0.621
0.882 0.882 0.882
0.022 0.919 0.424
0.081 0.470 0.592
0.092 0.970 0.581
0.419 0.522 0.924
0.424 0.022 0.919
0.470 0.592 0.081
0.522 0.924 0.419
0.581 0.092 0.970
0.592 0.081 0.470
0.919 0.424 0.022
0.924 0.419 0.522
0.970 0.581 0.092
```

The 12 most intense peaks (2θ = 15–90°), in order of rising 2θ:
| 2θ/deg | I_rel |
| --- | --- |
| 22.58 | 100 |
| 29.27 | 97 |
| 34.82 | 40 |
| 41.90 | 30 |
| 46.11 | 16 |
| 48.07 | 62 |
| 55.58 | 24 |
| 59.03 | 29 |
| 60.70 | 10 |
| 62.43 | 9 |
| 71.93 | 21 |
| 80.99 | 17 |